No. 1
# SmDy8Th6
Computed X-ray powder pattern, copper Kα. Input: a structure optimized by DFT (GGA-PBE).
Kinematic intensities with the Lorentz-polarization factor, no thermal factor.

Unit cell a=8.753 b=8.753 c=8.753 alpha=60.77 beta=60.77 gamma=60.77
Sites, in units of the cell vectors:
1 Sm 0.000 0.000 0.000
2 Dy 0.121 0.804 0.673
3 Dy 0.196 0.327 0.879
4 Dy 0.327 0.879 0.196
5 Dy 0.420 0.420 0.420
6 Dy 0.580 0.580 0.580
7 Dy 0.673 0.121 0.804
8 Dy 0.804 0.673 0.121
9 Dy 0.879 0.196 0.327
10 Th 0.073 0.266 0.535
11 Th 0.266 0.535 0.073
12 Th 0.465 0.927 0.734
13 Th 0.535 0.073 0.266
14 Th 0.734 0.465 0.927
15 Th 0.927 0.734 0.465

Principal peaks in the range 2θ from 15° to 90°, sorted by position:
2θ/deg	I (rel.)
31.14	100
31.38	51
31.62	46
32.00	63
32.31	62
37.53	20
46.29	13
54.86	20
54.97	14
56.52	22
56.75	16
65.42	16

No. 2
# KFeI2
Computed X-ray powder pattern, copper Kα. Input: a structure optimized by DFT (GGA-PBE).
Kinematic intensities with the Lorentz-polarization factor, no thermal factor.

Unit cell a=8.189 b=8.189 c=8.550 alpha=90.00 beta=90.00 gamma=90.00
Sites, in units of the cell vectors:
1 K 0.000 0.000 0.000
2 K 0.000 0.500 0.250
3 K 0.500 0.000 0.750
4 K 0.500 0.500 0.500
5 Fe 0.000 0.000 0.500
6 Fe 0.000 0.500 0.750
7 Fe 0.500 0.000 0.250
8 Fe 0.500 0.500 0.000
9 I 0.164 0.250 0.625
10 I 0.250 0.664 0.875
11 I 0.250 0.836 0.375
12 I 0.336 0.250 0.125
13 I 0.664 0.750 0.125
14 I 0.750 0.164 0.375
15 I 0.750 0.336 0.875
16 I 0.836 0.750 0.625

Principal peaks in the range 2θ from 15° to 90°, sorted by position:
2θ/deg	I (rel.)
25.91	100
26.48	50
30.88	27
34.64	11
40.09	20
40.74	21
41.12	32
46.97	12
48.01	25
49.35	11
51.45	13
57.32	19

No. 3
# Cs2TaPbCl6
Computed X-ray powder pattern, copper Kα. Input: a structure optimized by DFT (GGA-PBE).
Kinematic intensities with the Lorentz-polarization factor, no thermal factor.

Unit cell a=7.718 b=7.718 c=7.718 alpha=60.00 beta=60.00 gamma=60.00
Sites, in units of the cell vectors:
1 Cs 0.250 0.250 0.250
2 Cs 0.750 0.750 0.750
3 Ta 0.000 0.000 0.000
4 Pb 0.500 0.500 0.500
5 Cl 0.232 0.232 0.768
6 Cl 0.232 0.768 0.232
7 Cl 0.232 0.768 0.768
8 Cl 0.768 0.232 0.232
9 Cl 0.768 0.232 0.768
10 Cl 0.768 0.768 0.232

Principal peaks in the range 2θ from 15° to 90°, sorted by position:
2θ/deg	I (rel.)
16.24	14
23.05	100
32.82	46
36.83	7
40.49	46
47.10	32
53.06	23
58.59	11
63.81	26
73.64	12
78.36	14
87.58	10